For NpCd2CoO8, a PBE+U-relaxed structure gives the theoretical powder XRD pattern in this record (a wavelength of 1.5418 Å).

Peak list (10 most intense, 15 to 90 degrees two-theta, in order of rising 2θ)
| 2θ/deg | I/Imax |
| --- | --- |
| 22.41 | 37.6 |
| 25.15 | 96.3 |
| 26.34 | 84.5 |
| 33.40 | 67.3 |
| 34.23 | 100.0 |
| 35.18 | 41.9 |
| 49.21 | 31.0 |
| 50.56 | 39.4 |
| 51.00 | 31.7 |
| 52.33 | 35.9 |

Atomic structure:
abc: 4.712 6.307 5.108
angles: 90.00 92.63 90.00
Space group P2/m (No. 10)
Unique sites:
Np 0.000 0.000 0.000 (multiplicity 1)
Cd 0.500 0.263 0.500 (multiplicity 2)
Co 0.000 0.500 0.000 (multiplicity 1)
O 0.121 0.500 0.595 (multiplicity 2)
O 0.231 0.000 0.690 (multiplicity 2)
O 0.236 0.266 0.120 (multiplicity 4)